This entry pairs a crystal structure of ScFe2Tc with its computed PXRD pattern. Radiation: Cu Kα (weighted mean of Kα1 and Kα2). Structure: a crystal structure in Alexandria, relaxed with GGA-PBE.

abc: 5.113 5.113 5.113
angles: 146.04 129.69 62.09
Fractional coordinates of all 4 atoms:
Sc: 0.000 0.000 0.000
Fe: 0.502 0.502 0.000
Fe: 0.731 0.231 0.500
Tc: 0.269 0.769 0.500

Main lines, low angle first (10° ≤ 2θ ≤ 80°):
d = 4.381 Å, I = 7
d = 3.894 Å, I = 11
d = 2.190 Å, I = 24
d = 2.173 Å, I = 27
d = 2.146 Å, I = 100
d = 2.088 Å, I = 4
d = 1.543 Å, I = 15
d = 1.493 Å, I = 8
d = 1.256 Å, I = 12
d = 1.249 Å, I = 15
d = 1.234 Å, I = 7
d = 1.231 Å, I = 8